Simulated powder XRD pattern of Dy12Ho5Tm2 for copper Kα, from DFT lattice parameters and positions (GGA-PBE).
Lines closer than 0.1° are merged.

Atomic structure:
a b c (Å): 6.4393 8.7959 11.3403
angles (deg): 109.61 92.79 98.02
Space group P-1 (No. 2)
One atom of each set of equivalent atoms:
Dy (0.0120, 0.3905, 0.2180)
Dy (0.0267, 0.1998, 0.6373)
Dy (0.2044, 0.1707, 0.3591)
Dy (0.3064, 0.0117, 0.8020)
Dy (0.4444, 0.6566, 0.2678)
Dy (0.4685, 0.2603, 0.1301)
Ho (0.1639, 0.8717, 0.0760)
Ho (0.2765, 0.5979, 0.5402)
Ho (0.5000, 0.0000, 0.5000)
Tm (0.2360, 0.4451, 0.9608)

Most intense lines, 10 to 90 degrees two-theta, low angle first:
2theta  I (rel.)  hkl
31.3  31.5  0 3 -2
31.7  100.0  1 2 1
32.0  77.0  -1 1 3
32.1  31.7  1 -3 1
32.7  54.6  2 -1 2
32.8  95.2  2 1 -2
33.3  26.1  0 2 -4
33.9  23.0  0 3 -3


Simulated powder XRD pattern of SmSb6 for copper Kα, from DFT lattice parameters and positions (GGA-PBE).
Lines closer than 0.1° are merged.

Atomic structure:
a b c (Å): 8.3124 8.3124 8.3124
angles (deg): 90.00 90.00 90.00
Space group Im-3m (No. 229)
One atom of each set of equivalent atoms:
Sm (0.0000, 0.0000, 0.0000)
Sb (0.0000, 0.2500, 0.5000)

Most intense lines, 10 to 90 degrees two-theta, low angle first:
2theta  I (rel.)  hkl
21.4  41.5  2 0 0
26.3  100.0  2 1 1
37.5  28.2  2 2 2
40.6  62.3  3 2 1
43.6  31.8  4 0 0
61.1  18.5  5 2 1
63.3  20.6  4 4 0
69.7  18.6  6 1 1


Simulated powder XRD pattern of Ce4NiRh12 for copper Kα, from DFT lattice parameters and positions (GGA-PBE).
Lines closer than 0.1° are merged.

Atomic structure:
a b c (Å): 8.3324 8.3324 8.3324
angles (deg): 90.00 90.00 90.00
Space group Im-3m (No. 229)
One atom of each set of equivalent atoms:
Ce (0.2500, 0.2500, 0.2500)
Ni (0.0000, 0.0000, 0.0000)
Rh (0.0000, 0.0000, 0.2875)
Rh (0.0000, 0.2500, 0.5000)

Most intense lines, 10 to 90 degrees two-theta, low angle first:
2theta  I (rel.)  hkl
30.3  5.5  2 2 0
37.4  100.0  2 2 2
40.5  5.2  3 2 1
43.4  55.6  4 0 0
51.4  5.4  3 3 2
63.1  32.6  4 4 0
75.7  30.6  6 2 2
79.7  9.9  4 4 4


Simulated powder XRD pattern of GaCoBrCl4 for copper Kα, from DFT lattice parameters and positions (GGA-PBE).
Lines closer than 0.1° are merged.

Atomic structure:
a b c (Å): 13.5604 7.0488 10.6811
angles (deg): 90.00 112.62 90.00
Space group C2/m (No. 12)
One atom of each set of equivalent atoms:
Ga (0.1161, 0.0000, 0.3304)
Co (0.0055, 0.5000, 0.1498)
Br (0.1454, 0.5000, 0.0640)
Cl (0.0056, 0.2464, 0.7233)
Cl (0.1953, 0.0000, 0.5475)
Cl (0.2041, 0.0000, 0.2020)

Most intense lines, 10 to 90 degrees two-theta, low angle first:
2theta  I (rel.)  hkl
13.5  62.8  2 0 -1
15.5  36.9  1 1 -1
18.4  100.0  1 1 1
20.9  25.8  1 1 -2
25.3  47.6  0 2 0
28.8  33.4  2 2 -1
33.3  33.3  1 1 3
35.5  28.1  3 1 2


Simulated powder XRD pattern of Ti12Nb2Bi5 for copper Kα, from DFT lattice parameters and positions (GGA-PBE).
Lines closer than 0.1° are merged.

Atomic structure:
a b c (Å): 14.5301 5.7290 9.7905
angles (deg): 90.00 92.60 90.00
Space group C2/m (No. 12)
One atom of each set of equivalent atoms:
Ti (0.0069, 0.0000, 0.1748)
Ti (0.0947, 0.5000, 0.7043)
Ti (0.1521, 0.2356, 0.9364)
Ti (0.1660, 0.2558, 0.4150)
Nb (0.0000, 0.2459, 0.5000)
Bi (0.0000, 0.5000, 0.0000)
Bi (0.1594, 0.0000, 0.6713)
Bi (0.2051, 0.0000, 0.1799)

Most intense lines, 10 to 90 degrees two-theta, low angle first:
2theta  I (rel.)  hkl
21.4  49.8  2 0 -2
24.1  79.8  3 1 0
24.9  100.0  1 1 2
38.2  49.2  2 2 -2
38.7  46.9  5 1 -2
39.4  40.4  2 0 4
40.3  35.6  1 1 -4
43.7  31.8  4 0 -4


Simulated powder XRD pattern of Ho2Tm2Ga4Si for copper Kα, from DFT lattice parameters and positions (GGA-PBE).
Lines closer than 0.1° are merged.

Atomic structure:
a b c (Å): 6.8726 6.8726 8.7465
angles (deg): 90.00 90.00 90.00
Space group I4/mmm (No. 139)
One atom of each set of equivalent atoms:
Ho (0.0000, 0.0000, 0.1958)
Tm (0.0000, 0.5000, 0.2500)
Ga (0.2497, 0.2497, 0.0000)
Si (0.0000, 0.0000, 0.5000)

Most intense lines, 10 to 90 degrees two-theta, low angle first:
2theta  I (rel.)  hkl
25.9  20.1  2 0 0
33.2  100.0  2 0 2
33.4  12.6  1 0 3
37.0  49.4  2 2 0
42.7  12.8  2 1 3
53.3  17.2  4 0 0
56.6  15.5  2 2 4
64.2  29.4  4 2 2


Simulated powder XRD pattern of La3AlIr2 for copper Kα, from DFT lattice parameters and positions (GGA-PBE).
Lines closer than 0.1° are merged.

Atomic structure:
a b c (Å): 7.3658 10.0509 9.0399
angles (deg): 90.00 108.08 90.00
Space group P2_1/c (No. 14)
One atom of each set of equivalent atoms:
La (0.1830, 0.1142, 0.0984)
La (0.2383, 0.0499, 0.5030)
La (0.2644, 0.7277, 0.3161)
Al (0.4331, 0.0767, 0.8646)
Ir (0.0623, 0.0552, 0.7662)
Ir (0.4955, 0.1799, 0.3677)

Most intense lines, 10 to 90 degrees two-theta, low angle first:
2theta  I (rel.)  hkl
21.8  68.7  1 2 0
28.9  100.0  1 1 2
29.6  77.0  1 3 0
32.8  38.2  2 2 -2
34.9  51.3  2 1 -3
37.3  37.1  0 4 1
40.9  42.6  2 3 1
47.2  37.0  1 4 -3


Simulated powder XRD pattern of SrPmWN3 for copper Kα, from DFT lattice parameters and positions (GGA-PBE).
Lines closer than 0.1° are merged.

Atomic structure:
a b c (Å): 13.5968 3.9898 7.2406
angles (deg): 90.00 105.35 90.00
Space group C2/m (No. 12)
One atom of each set of equivalent atoms:
Sr (0.1440, 0.0000, 0.0728)
Pm (0.1592, 0.0000, 0.5758)
W (0.0024, 0.5000, 0.6952)
N (0.0031, 0.0000, 0.2833)
N (0.1487, 0.5000, 0.8140)
N (0.1562, 0.5000, 0.3454)

Most intense lines, 10 to 90 degrees two-theta, low angle first:
2theta  I (rel.)  hkl
12.7  40.2  0 0 1
13.5  26.5  2 0 0
30.3  100.0  3 1 0
32.1  79.3  2 0 2
33.4  87.5  1 1 -2
41.3  27.8  6 0 0
54.1  35.2  5 1 2
56.7  32.1  2 2 2


Simulated powder XRD pattern of UPb2Se2N2 for copper Kα, from DFT lattice parameters and positions (GGA-PBE).
Lines closer than 0.1° are merged.

Atomic structure:
a b c (Å): 4.2665 4.2665 16.7993
angles (deg): 90.00 90.00 90.00
Space group I4/mmm (No. 139)
One atom of each set of equivalent atoms:
U (0.0000, 0.0000, 0.0000)
Pb (0.0000, 0.0000, 0.3660)
Se (0.0000, 0.0000, 0.1718)
N (0.0000, 0.5000, 0.0000)

Most intense lines, 10 to 90 degrees two-theta, low angle first:
2theta  I (rel.)  hkl
26.3  72.8  1 0 3
29.6  100.0  1 1 0
34.0  65.7  1 0 5
42.4  44.0  2 0 0
44.1  28.5  1 1 6
50.5  26.4  2 1 3
55.4  33.2  2 1 5
80.6  24.3  2 1 11


Simulated powder XRD pattern of Tb7NdDy3 for copper Kα, from DFT lattice parameters and positions (GGA-PBE).
Lines closer than 0.1° are merged.

Atomic structure:
a b c (Å): 6.9755 5.5641 9.9087
angles (deg): 90.00 109.89 90.00
Space group P2/m (No. 10)
One atom of each set of equivalent atoms:
Tb (0.0000, 0.0000, 0.0000)
Tb (0.1463, 0.5000, 0.2899)
Tb (0.3247, 0.5000, 0.6424)
Tb (0.4216, 0.0000, 0.8313)
Nd (0.0000, 0.0000, 0.5000)
Dy (0.2782, 0.5000, 0.9979)
Dy (0.5000, 0.0000, 0.5000)

Most intense lines, 10 to 90 degrees two-theta, low angle first:
2theta  I (rel.)  hkl
31.5  26.9  1 1 2
31.7  100.0  2 1 0
31.9  84.0  2 1 -2
32.2  87.4  0 2 0
33.0  68.5  0 1 3
57.1  19.8  2 3 0
58.3  17.1  2 1 4
62.9  23.4  4 2 -2


Simulated powder XRD pattern of Pr3IrSeBr for copper Kα, from DFT lattice parameters and positions (GGA-PBE).
Lines closer than 0.1° are merged.

Atomic structure:
a b c (Å): 7.8878 4.2436 10.6742
angles (deg): 90.00 92.02 90.00
Space group P2_1/m (No. 11)
One atom of each set of equivalent atoms:
Pr (0.0554, 0.2500, 0.2191)
Pr (0.2446, 0.7500, 0.5025)
Pr (0.3832, 0.2500, 0.7989)
Ir (0.0885, 0.2500, 0.6478)
Se (0.4190, 0.2500, 0.3286)
Br (0.2519, 0.7500, 0.9999)

Most intense lines, 10 to 90 degrees two-theta, low angle first:
2theta  I (rel.)  hkl
13.7  14.8  1 0 -1
28.6  51.3  2 0 2
28.9  100.0  1 1 -2
34.5  18.3  2 0 3
40.4  41.8  3 1 0
42.0  27.0  1 1 4
42.6  20.4  0 2 0
52.1  20.3  2 2 2